Diffraction record for NdSm12Y2. The XRD peak list is calculated, not measured: it uses the GGA-PBE geometry in Alexandria and a wavelength of 1.5418 Å.
No peak broadening, texture or thermal motion is included.

Most intense lines, 10 to 80 degrees two-theta, sorted by position:
Position (°2θ)	I_rel
25.86	23
28.72	26
29.50	51
30.22	66
31.02	74
32.71	100
36.61	52
57.82	23

Cell lengths 7.170, 11.532, 24.903 Å; angles 90.00, 90.00, 90.00 degrees
Space group Cmme (No. 67)
Symmetry-distinct sites (fractional):
Nd (0.000, 0.250, 0.001) (multiplicity 4)
Sm (0.000, 0.002, 0.923) (multiplicity 8)
Sm (0.000, 0.022, 0.440) (multiplicity 8)
Sm (0.232, 0.250, 0.585) (multiplicity 8)
Sm (0.248, 0.250, 0.131) (multiplicity 8)
Sm (0.250, 0.000, 0.200) (multiplicity 8)
Sm (0.250, 0.000, 0.326) (multiplicity 8)
Y (0.000, 0.250, 0.272) (multiplicity 4)
Y (0.000, 0.250, 0.733) (multiplicity 4)

Diffraction record for LaPmErTh. The XRD peak list is calculated, not measured: it uses the GGA-PBE geometry in Alexandria and a wavelength of 1.5418 Å.
No peak broadening, texture or thermal motion is included.

Most intense lines, 10 to 80 degrees two-theta, sorted by position:
Position (°2θ)	I_rel
30.23	100
35.05	51
36.16	6
50.40	36
59.83	13
59.95	29
62.86	12
74.12	4

Cell lengths 3.618, 3.618, 10.259 Å; angles 90.00, 90.00, 90.00 degrees
Space group P4mm (No. 99)
Symmetry-distinct sites (fractional):
La (0.000, 0.000, 0.000) (multiplicity 1)
Pm (0.500, 0.500, 0.730) (multiplicity 1)
Er (0.500, 0.500, 0.258) (multiplicity 1)
Th (0.000, 0.000, 0.490) (multiplicity 1)

> Which formula does entry 2 have?

LaPmErTh

What did the first record say?
Diffraction record for NdSm12Y2. The XRD peak list is calculated, not measured: it uses the GGA-PBE geometry in Alexandria and a wavelength of 1.5418 Å.
No peak broadening, texture or thermal motion is included.

Most intense lines, 10 to 80 degrees two-theta, sorted by position:
Position (°2θ)	I_rel
25.86	23
28.72	26
29.50	51
30.22	66
31.02	74
32.71	100
36.61	52
57.82	23

Cell lengths 7.170, 11.532, 24.903 Å; angles 90.00, 90.00, 90.00 degrees
Space group Cmme (No. 67)
Symmetry-distinct sites (fractional):
Nd (0.000, 0.250, 0.001) (multiplicity 4)
Sm (0.000, 0.002, 0.923) (multiplicity 8)
Sm (0.000, 0.022, 0.440) (multiplicity 8)
Sm (0.232, 0.250, 0.585) (multiplicity 8)
Sm (0.248, 0.250, 0.131) (multiplicity 8)
Sm (0.250, 0.000, 0.200) (multiplicity 8)
Sm (0.250, 0.000, 0.326) (multiplicity 8)
Y (0.000, 0.250, 0.272) (multiplicity 4)
Y (0.000, 0.250, 0.733) (multiplicity 4)